Simulated PXRD pattern of AcGe4 for Cu Kα, from a cell relaxed with GGA-PBE.
Intensities are scaled so that the largest is 100.

The 10 most intense peaks (2θ from 5° to 70°), low angle first:
| h k l | two_theta | I/Imax |
| --- | --- | --- |
| 2 0 -1 | 23.29 | 28 |
| 2 0 0 | 27.92 | 37 |
| 2 0 -2 | 31.53 | 45 |
| 1 1 1 | 31.97 | 80 |
| 0 2 1 | 33.68 | 58 |
| 1 1 -2 | 34.42 | 45 |
| 2 2 -1 | 36.75 | 100 |
| 3 1 0 | 44.87 | 27 |
| 1 1 -3 | 52.09 | 28 |
| 4 2 -3 | 61.67 | 32 |

```
data_AcGe4
_cell_length_a 7.6954
_cell_length_b 6.3666
_cell_length_c 5.8408
_cell_angle_alpha 90.00
_cell_angle_beta 123.85
_cell_angle_gamma 90.00
_symmetry_space_group_name_H-M 'C 1 2/m 1'
_symmetry_Int_Tables_number 12
_symmetry_space_group_name_Hall '-C 2y'
loop_
_atom_site_label
_atom_site_fract_x
_atom_site_fract_y
_atom_site_fract_z
Ac1 0.0000 0.0000 0.0000
Ge1 0.0000 0.2719 0.5000
Ge2 0.1602 0.5000 0.2721
```